Computed PXRD pattern of ZnNiMoIr for λ = 1.5418 Å (Cu Kα), from the PBE geometry in OQMD.

Cell and atoms:
Cell lengths 6.059, 6.059, 6.059 Å; angles 90.00, 90.00, 90.00 degrees
Positions (direct):
Zn 0.000 0.000 0.000
Zn 0.000 0.500 0.500
Zn 0.500 0.000 0.500
Zn 0.500 0.500 0.000
Ni 0.250 0.250 0.250
Ni 0.250 0.750 0.750
Ni 0.750 0.250 0.750
Ni 0.750 0.750 0.250
Mo 0.250 0.250 0.750
Mo 0.250 0.750 0.250
Mo 0.750 0.250 0.250
Mo 0.750 0.750 0.750
Ir 0.000 0.000 0.500
Ir 0.000 0.500 0.000
Ir 0.500 0.000 0.000
Ir 0.500 0.500 0.500

Largest 9 diffraction maxima, sorted by position, 10° ≤ 2θ ≤ 80°:
2theta  I/Imax  hkl
25.46  21  1 1 1
29.48  7  2 0 0
42.19  100  2 2 0
49.92  11  3 1 1
52.30  2  2 2 2
61.19  16  4 0 0
67.37  5  3 3 1
69.36  3  4 2 0
77.12  33  4 2 2



Computed PXRD pattern of MoIr6Os for λ = 1.5418 Å (Cu Kα), from the PBE geometry in OQMD.

Cell and atoms:
Cell lengths 5.532, 5.532, 4.403 Å; angles 90.00, 90.00, 120.00 degrees
Positions (direct):
Mo 0.000 0.000 0.000
Ir 0.168 0.336 0.500
Ir 0.168 0.832 0.500
Ir 0.501 0.002 0.000
Ir 0.501 0.499 0.000
Ir 0.664 0.832 0.500
Ir 0.998 0.499 0.000
Os 0.667 0.333 0.500

Largest 10 diffraction maxima, sorted by position, 10° ≤ 2θ ≤ 80°:
2theta  I/Imax  hkl
18.52  2  1 0 0
27.51  2  1 0 1
37.55  24  2 0 0
38.43  1  1 1 1
40.99  25  0 0 2
42.98  100  2 0 1
54.82  1  2 1 1
56.79  15  2 0 2
67.75  17  2 2 0
76.05  19  2 0 3



Computed PXRD pattern of MoIrOs6 for λ = 1.5418 Å (Cu Kα), from the PBE geometry in OQMD.

Cell and atoms:
Cell lengths 5.521, 5.521, 4.368 Å; angles 90.00, 90.00, 120.00 degrees
Positions (direct):
Mo 0.000 0.000 0.000
Ir 0.667 0.333 0.500
Os 0.169 0.339 0.500
Os 0.169 0.831 0.500
Os 0.502 0.004 0.000
Os 0.502 0.498 0.000
Os 0.661 0.831 0.500
Os 0.996 0.498 0.000

Largest 10 diffraction maxima, sorted by position, 10° ≤ 2θ ≤ 80°:
2theta  I/Imax  hkl
18.56  3  1 0 0
27.66  1  1 0 1
37.62  25  2 0 0
38.58  1  1 1 1
41.34  25  0 0 2
43.13  100  2 0 1
54.99  1  2 1 1
57.12  15  2 0 2
67.91  17  2 2 0
76.62  19  2 0 3



Computed PXRD pattern of MoIr2Os for λ = 1.5418 Å (Cu Kα), from the PBE geometry in OQMD.

Cell and atoms:
Cell lengths 4.406, 9.570, 5.550 Å; angles 90.00, 90.00, 90.00 degrees
Positions (direct):
Mo 0.250 0.165 0.000
Mo 0.250 0.665 0.500
Mo 0.750 0.335 0.500
Mo 0.750 0.835 0.000
Ir 0.250 0.166 0.500
Ir 0.250 0.417 0.753
Ir 0.250 0.666 0.000
Ir 0.250 0.917 0.253
Ir 0.750 0.083 0.253
Ir 0.750 0.334 0.000
Ir 0.750 0.583 0.753
Ir 0.750 0.834 0.500
Os 0.250 0.417 0.251
Os 0.250 0.917 0.751
Os 0.750 0.083 0.751
Os 0.750 0.583 0.251

Largest 10 diffraction maxima, sorted by position, 10° ≤ 2θ ≤ 80°:
2theta  I/Imax  hkl
27.49  9  1 1 1
37.47  24  0 2 2
37.59  12  0 4 0
40.97  38  2 0 0
42.90  100  1 2 2
43.02  50  1 4 0
56.75  22  2 2 2
67.51  9  0 0 4
67.77  17  0 6 2
75.98  28  3 4 0



Computed PXRD pattern of Mo2Ir3Os3 for λ = 1.5418 Å (Cu Kα), from the PBE geometry in OQMD.

Cell and atoms:
Cell lengths 5.534, 5.534, 4.406 Å; angles 90.00, 90.00, 120.00 degrees
Positions (direct):
Mo 0.000 0.000 0.000
Mo 0.333 0.667 0.500
Ir 0.501 0.001 0.000
Ir 0.501 0.499 0.000
Ir 0.999 0.499 0.000
Os 0.335 0.168 0.500
Os 0.832 0.168 0.500
Os 0.832 0.665 0.500

Largest 10 diffraction maxima, sorted by position, 10° ≤ 2θ ≤ 80°:
2theta  I/Imax  hkl
18.51  3  1 0 0
27.50  6  1 0 1
32.35  3  1 1 0
37.53  24  2 0 0
40.97  25  0 0 2
42.96  100  2 0 1
54.79  2  2 1 1
56.76  15  2 0 2
67.73  17  2 2 0
76.00  19  2 0 3



Computed PXRD pattern of Mo2Ir3Os3 for λ = 1.5418 Å (Cu Kα), from the PBE geometry in OQMD.

Cell and atoms:
Cell lengths 4.398, 5.534, 9.607 Å; angles 90.00, 90.00, 90.00 degrees
Positions (direct):
Mo 0.000 0.000 0.000
Mo 0.000 0.500 0.500
Mo 0.500 0.000 0.334
Mo 0.500 0.500 0.834
Ir 0.000 0.000 0.502
Ir 0.000 0.500 0.002
Ir 0.500 0.249 0.584
Ir 0.500 0.251 0.084
Ir 0.500 0.749 0.084
Ir 0.500 0.751 0.584
Os 0.000 0.249 0.249
Os 0.000 0.251 0.749
Os 0.000 0.749 0.749
Os 0.000 0.751 0.249
Os 0.500 0.000 0.834
Os 0.500 0.500 0.334

Largest 10 diffraction maxima, sorted by position, 10° ≤ 2θ ≤ 80°:
2theta  I/Imax  hkl
18.49  3  0 0 2
27.51  6  1 1 1
32.32  3  0 1 3
37.49  24  0 2 2
41.05  25  2 0 0
42.95  100  1 0 4
56.79  15  2 2 2
67.60  12  0 2 6
67.73  6  0 4 0
76.09  19  3 0 4



Computed PXRD pattern of Mo2Ir5Pd for λ = 1.5418 Å (Cu Kα), from the PBE geometry in OQMD.

Cell and atoms:
Cell lengths 4.424, 5.562, 9.608 Å; angles 90.00, 90.00, 90.00 degrees
Positions (direct):
Mo 0.000 0.000 0.000
Mo 0.000 0.500 0.500
Mo 0.500 0.000 0.330
Mo 0.500 0.500 0.830
Ir 0.000 0.000 0.501
Ir 0.000 0.248 0.250
Ir 0.000 0.252 0.750
Ir 0.000 0.500 0.001
Ir 0.000 0.748 0.750
Ir 0.000 0.752 0.250
Ir 0.500 0.247 0.580
Ir 0.500 0.253 0.080
Ir 0.500 0.747 0.080
Ir 0.500 0.753 0.580
Pd 0.500 0.000 0.833
Pd 0.500 0.500 0.333

Largest 10 diffraction maxima, sorted by position, 10° ≤ 2θ ≤ 80°:
2theta  I/Imax  hkl
18.45  4  0 0 2
27.40  6  1 0 2
32.20  3  0 2 0
37.39  25  0 0 4
40.79  25  2 0 0
42.79  100  1 2 2
56.52  15  2 0 4
67.34  6  0 4 0
67.50  11  0 2 6
75.64  19  3 2 2



Computed PXRD pattern of MoIr2Pt for λ = 1.5418 Å (Cu Kα), from the PBE geometry in OQMD.

Cell and atoms:
Cell lengths 4.453, 9.650, 5.555 Å; angles 90.00, 90.00, 90.00 degrees
Positions (direct):
Mo 0.250 0.168 0.000
Mo 0.250 0.668 0.500
Mo 0.750 0.332 0.500
Mo 0.750 0.832 0.000
Ir 0.250 0.168 0.495
Ir 0.250 0.420 0.751
Ir 0.250 0.668 0.995
Ir 0.250 0.920 0.251
Ir 0.750 0.080 0.251
Ir 0.750 0.332 0.995
Ir 0.750 0.580 0.751
Ir 0.750 0.832 0.495
Pt 0.250 0.415 0.253
Pt 0.250 0.915 0.753
Pt 0.750 0.085 0.753
Pt 0.750 0.585 0.253

Largest 10 diffraction maxima, sorted by position, 10° ≤ 2θ ≤ 80°:
2theta  I/Imax  hkl
18.41  2  0 2 0
27.27  6  1 2 0
32.18  3  0 0 2
37.33  24  0 2 2
40.52  26  2 0 0
42.67  100  1 4 0
56.26  15  2 2 2
67.27  12  0 6 2
67.44  6  0 0 4
75.19  19  3 4 0